1.
The following is a calculated X-ray diffraction stick pattern of PrGe12Pt4. It was derived from a cell relaxed with PBE, using Cu Ka.

Main lines, sorted by position (2θ from 15° to 90°):
Position (°2θ), I (rel.), (hkl)
20.3, 503, 2 0 0
28.9, 1000, 2 2 0
32.4, 821, 3 0 1
38.6, 367, 3 1 2
46.5, 764, 4 0 2
51.3, 848, 4 2 2

Structural model:
Unit cell a=8.731 b=8.731 c=8.731 alpha=90.00 beta=90.00 gamma=90.00
Space group Im-3 (No. 204)
One atom of each set of equivalent atoms:
Pr1 0.000 0.000 0.000
Ge1 0.000 0.354 0.152
Pt1 0.250 0.250 0.250

---

2.
The following is a calculated X-ray diffraction stick pattern of PrGe3Rh. It was derived from a cell relaxed with PBE, using Cu Ka.

Main lines, sorted by position (2θ from 15° to 90°):
Position (°2θ), I (rel.), (hkl)
28.4, 265, 1 1 0
33.2, 713, 1 0 3
33.5, 1000, 1 1 2
40.6, 761, 2 0 0
53.5, 365, 2 1 3
58.8, 252, 2 2 0

Structural model:
Unit cell a=4.439 b=4.439 c=10.187 alpha=90.00 beta=90.00 gamma=90.00
Space group I4mm (No. 107)
One atom of each set of equivalent atoms:
Pr1 0.000 0.000 0.000
Ge1 0.000 0.000 0.577
Ge2 0.000 0.500 0.237
Rh1 0.000 0.000 0.340

---

3.
The following is a calculated X-ray diffraction stick pattern of PrGe4Rh6. It was derived from a cell relaxed with PBE, using Cu Ka.

Main lines, sorted by position (2θ from 15° to 90°):
Position (°2θ), I (rel.), (hkl)
33.7, 232, 1 1 1
36.7, 1000, 2 0 1
38.0, 337, 2 1 0
44.7, 365, 2 1 1
46.4, 260, 0 0 2
50.5, 245, 2 2 0

Structural model:
Unit cell a=7.2356 b=7.2356 c=3.9131 alpha=90.00 beta=90.00 gamma=120.00
Space group P-6m2 (No. 187)
One atom of each set of equivalent atoms:
Pr1 0.0000 0.0000 0.0000
Ge1 0.3333 0.6667 0.0000
Ge2 0.3973 0.1986 0.5000
Rh1 0.2008 0.4015 0.5000
Rh2 0.5333 0.0665 0.0000

---

4.
The following is a calculated X-ray diffraction stick pattern of Pr3Ge2Rh2. It was derived from a cell relaxed with PBE, using Cu Ka.

Main lines, sorted by position (2θ from 15° to 90°):
Position (°2θ), I (rel.), (hkl)
32.6, 551, 1 1 4
32.9, 527, 2 1 0
33.4, 487, 1 2 3
34.4, 449, 0 2 4
36.3, 754, 1 3 0
38.7, 1000, 2 1 3

Structural model:
Unit cell a=5.771 b=8.207 c=13.483 alpha=90.00 beta=90.00 gamma=90.00
Space group Pbcm (No. 57)
One atom of each set of equivalent atoms:
Pr1 0.145 0.249 0.250
Pr2 0.351 0.609 0.600
Ge1 0.142 0.250 0.000
Ge2 0.348 0.605 0.250
Rh1 0.120 0.535 0.091

---

5.
The following is a calculated X-ray diffraction stick pattern of Pr2Ge5Rh3. It was derived from a cell relaxed with PBE, using Cu Ka.

Main lines, sorted by position (2θ from 15° to 90°):
Position (°2θ), I (rel.), (hkl)
29.3, 199, 0 0 2
33.6, 657, 3 2 1
34.3, 1000, 2 0 2
41.9, 632, 0 4 2
54.8, 291, 3 2 3
60.8, 182, 0 0 4

Structural model:
Unit cell a=10.195 b=12.188 c=6.093 alpha=90.00 beta=90.00 gamma=90.00
Space group Ibam (No. 72)
One atom of each set of equivalent atoms:
Pr1 0.232 0.133 0.000
Ge1 0.000 0.000 0.250
Ge2 0.000 0.278 0.250
Ge3 0.161 0.401 0.000
Rh1 0.000 0.500 0.250
Rh2 0.105 0.141 0.500

---

6.
The following is a calculated X-ray diffraction stick pattern of PrGeRu. It was derived from a cell relaxed with PBE, using Cu Ka.

Main lines, sorted by position (2θ from 15° to 90°):
Position (°2θ), I (rel.), (hkl)
32.0, 469, 1 1 1
33.0, 600, 1 0 2
39.2, 1000, 1 1 2
41.8, 659, 2 0 0
54.3, 289, 2 1 2
74.6, 293, 3 1 2

Structural model:
Unit cell a=4.319 b=4.319 c=6.977 alpha=90.00 beta=90.00 gamma=90.00
Space group P4/nmm (No. 129, origin choice 2)
One atom of each set of equivalent atoms:
Pr1 0.250 0.250 0.185
Ge1 0.250 0.250 0.690
Ru1 0.250 0.750 0.500

---

7.
The following is a calculated X-ray diffraction stick pattern of Pr2Ge5Ru3. It was derived from a cell relaxed with PBE, using Cu Ka.

Main lines, sorted by position (2θ from 15° to 90°):
Position (°2θ), I (rel.), (hkl)
33.7, 662, 2 4 0
34.0, 1000, 3 2 1
35.3, 810, 2 0 2
42.0, 901, 0 4 2
54.0, 256, 3 6 1
63.1, 301, 0 0 4

Structural model:
Unit cell a=10.010 b=12.558 c=5.899 alpha=90.00 beta=90.00 gamma=90.00
Space group Ibam (No. 72)
One atom of each set of equivalent atoms:
Pr1 0.232 0.136 0.000
Ge1 0.000 0.000 0.250
Ge2 0.000 0.289 0.250
Ge3 0.169 0.408 0.000
Ru1 0.000 0.500 0.250
Ru2 0.095 0.145 0.500

---

8.
The following is a calculated X-ray diffraction stick pattern of Pr2Ge2Ru. It was derived from a cell relaxed with PBE, using Cu Ka.

Main lines, sorted by position (2θ from 15° to 90°):
Position (°2θ), I (rel.), (hkl)
31.4, 1000, 3 1 -1
32.3, 937, 1 1 2
32.8, 864, 1 1 -3
34.9, 956, 3 1 -3
39.0, 951, 3 1 1
40.9, 918, 0 2 0

Structural model:
Unit cell a=11.343 b=4.414 c=10.650 alpha=90.00 beta=119.59 gamma=90.00
Space group C2/m (No. 12)
One atom of each set of equivalent atoms:
Pr1 0.001 0.000 0.173
Pr2 0.184 0.000 0.608
Ge1 0.002 0.500 0.372
Ge2 0.156 0.500 0.068
Ru1 0.228 0.500 0.880